Record 1
This entry pairs a crystal structure of TlNi2AgOs with its simulated powder X-ray diffraction pattern. Radiation: CuKα. Structure: a structure optimized by DFT (PBE).

Principal peaks in the range 2θ = 15–90°, low angle first:
2θ/deg	I/Imax
19.43	100
27.61	79
32.60	51
34.37	66
39.44	90
44.64	44
53.30	75
68.29	35

Structural model:
```
data_TlNi2AgOs
_chemical_formula_sum 'Tl1 Ni2 Ag1 Os1'
_space_group_name_H-M_alt 'P 4/m m m'
_space_group_IT_number 123
_space_group_name_Hall '-P 4 2'
_cell_length_a 4.569
_cell_length_b 4.569
_cell_length_c 5.218
_cell_angle_alpha 90.00
_cell_angle_beta 90.00
_cell_angle_gamma 90.00
loop_
_atom_site_label
_atom_site_type_symbol
_atom_site_fract_x
_atom_site_fract_y
_atom_site_fract_z
Tl1 Tl 0.000 0.000 0.000
Ni1 Ni 0.000 0.500 0.500
Ag1 Ag 0.500 0.500 0.000
Os1 Os 0.000 0.000 0.500
```


Record 2
This entry pairs a crystal structure of Ni2Ag3P4 with its simulated powder X-ray diffraction pattern. Radiation: CuKα. Structure: a structure optimized by DFT (PBE).

Principal peaks in the range 2θ = 15–90°, low angle first:
2θ/deg	I/Imax
25.54	19
33.59	19
36.05	100
38.27	17
42.67	21
48.10	34
60.07	27
72.09	19

Structural model:
```
data_Ni2Ag3P4
_chemical_formula_sum 'Ni4 Ag6 P8'
_space_group_name_H-M_alt 'P 63/m m c'
_space_group_IT_number 194
_space_group_name_Hall '-P 6c 2c'
_cell_length_a 3.0804
_cell_length_b 3.0804
_cell_length_c 34.8774
_cell_angle_alpha 90.00
_cell_angle_beta 90.00
_cell_angle_gamma 120.00
loop_
_atom_site_label
_atom_site_type_symbol
_atom_site_fract_x
_atom_site_fract_y
_atom_site_fract_z
Ni1 Ni 0.3333 0.6667 0.1403
Ag1 Ag 0.3333 0.6667 0.5331
Ag2 Ag 0.3333 0.6667 0.7500
P1 P 0.0000 0.0000 0.0965
P2 P 0.3333 0.6667 0.6799
```


Record 3
This entry pairs a crystal structure of Ni2AgPb with its simulated powder X-ray diffraction pattern. Radiation: CuKα. Structure: a structure optimized by DFT (PBE).

Principal peaks in the range 2θ = 15–90°, low angle first:
2θ/deg	I/Imax
25.21	33
39.05	100
39.36	11
42.54	20
46.78	30
65.07	22
75.51	14
81.60	23

Structural model:
```
data_Ni2AgPb
_chemical_formula_sum 'Ni4 Ag2 Pb2'
_space_group_name_H-M_alt 'I -4 m 2'
_space_group_IT_number 119
_space_group_name_Hall 'I -4 -2'
_cell_length_a 3.884
_cell_length_b 3.884
_cell_length_c 8.500
_cell_angle_alpha 90.00
_cell_angle_beta 90.00
_cell_angle_gamma 90.00
loop_
_atom_site_label
_atom_site_type_symbol
_atom_site_fract_x
_atom_site_fract_y
_atom_site_fract_z
Ni1 Ni 0.000 0.000 0.000
Ni2 Ni 0.000 0.500 0.250
Ag1 Ag 0.000 0.000 0.500
Pb1 Pb 0.000 0.500 0.750
```


Record 4
This entry pairs a crystal structure of Ni5AgPd12 with its simulated powder X-ray diffraction pattern. Radiation: CuKα. Structure: a structure optimized by DFT (PBE).

Principal peaks in the range 2θ = 15–90°, low angle first:
2θ/deg	I/Imax
40.36	100
46.51	33
47.83	15
67.92	5
68.93	19
82.04	23
84.00	11
87.26	10

Structural model:
```
data_Ni5AgPd12
_chemical_formula_sum 'Ni5 Ag1 Pd12'
_space_group_name_H-M_alt 'P -1'
_space_group_IT_number 2
_cell_length_a 4.699
_cell_length_b 8.176
_cell_length_c 8.177
_cell_angle_alpha 60.91
_cell_angle_beta 74.51
_cell_angle_gamma 74.50
loop_
_space_group_symop_operation_xyz
'x,y,z'
'-x,-y,-z'
loop_
_atom_site_label
_atom_site_type_symbol
_atom_site_fract_x
_atom_site_fract_y
_atom_site_fract_z
Ni1 Ni 0.000 0.000 0.000
Ni2 Ni 0.016 0.329 0.328
Ni3 Ni 0.497 0.835 0.834
Ag1 Ag 0.500 0.500 0.500
Pd1 Pd 0.001 0.668 0.331
Pd2 Pd 0.001 0.672 0.996
Pd3 Pd 0.006 0.004 0.329
Pd4 Pd 0.494 0.506 0.834
Pd5 Pd 0.498 0.167 0.494
Pd6 Pd 0.500 0.159 0.841
```


Record 5
This entry pairs a crystal structure of Pm7Ni2Ag2 with its simulated powder X-ray diffraction pattern. Radiation: CuKα. Structure: a structure optimized by DFT (PBE).

Principal peaks in the range 2θ = 15–90°, low angle first:
2θ/deg	I/Imax
26.07	24
27.73	67
28.67	50
29.59	29
31.38	66
36.46	44
37.70	100
53.65	23

Structural model:
```
data_Pm7Ni2Ag2
_chemical_formula_sum 'Pm14 Ni4 Ag4'
_space_group_name_H-M_alt 'C m m m'
_space_group_IT_number 65
_space_group_name_Hall '-C 2 2'
_cell_length_a 7.794
_cell_length_b 11.403
_cell_length_c 7.116
_cell_angle_alpha 90.00
_cell_angle_beta 90.00
_cell_angle_gamma 90.00
loop_
_atom_site_label
_atom_site_type_symbol
_atom_site_fract_x
_atom_site_fract_y
_atom_site_fract_z
Pm1 Pm 0.000 0.000 0.000
Pm2 Pm 0.000 0.500 0.243
Pm3 Pm 0.250 0.250 0.252
Ni1 Ni 0.000 0.301 0.000
Ag1 Ag 0.175 0.000 0.500
```


Record 6
This entry pairs a crystal structure of Pm8NiAg2 with its simulated powder X-ray diffraction pattern. Radiation: CuKα. Structure: a structure optimized by DFT (PBE).

Principal peaks in the range 2θ = 15–90°, low angle first:
2θ/deg	I/Imax
28.08	60
30.76	100
30.87	78
31.14	52
32.32	39
32.83	62
34.15	94
36.81	29

Structural model:
```
data_Pm8NiAg2
_chemical_formula_sum 'Pm16 Ni2 Ag4'
_space_group_name_H-M_alt 'C 1 2/m 1'
_space_group_IT_number 12
_cell_length_a 17.902
_cell_length_b 5.251
_cell_length_c 6.948
_cell_angle_alpha 90.00
_cell_angle_beta 102.93
_cell_angle_gamma 90.00
loop_
_space_group_symop_operation_xyz
'x,y,z'
'-x,-y,-z'
'-x,y,-z'
'x,-y,z'
'x+1/2,y+1/2,z'
'-x+1/2,-y+1/2,-z'
'-x+1/2,y+1/2,-z'
'x+1/2,-y+1/2,z'
loop_
_atom_site_label
_atom_site_type_symbol
_atom_site_fract_x
_atom_site_fract_y
_atom_site_fract_z
Pm1 Pm 0.025 0.000 0.281
Pm2 Pm 0.088 0.500 0.942
Pm3 Pm 0.156 0.500 0.470
Pm4 Pm 0.201 0.000 0.820
Ni1 Ni 0.000 0.500 0.500
Ag1 Ag 0.190 0.000 0.240
```


Record 7
This entry pairs a crystal structure of Pr6NiAg2 with its simulated powder X-ray diffraction pattern. Radiation: CuKα. Structure: a structure optimized by DFT (PBE).

Principal peaks in the range 2θ = 15–90°, low angle first:
2θ/deg	I/Imax
28.08	100
29.36	51
29.68	42
30.47	76
30.93	62
31.50	40
33.78	43
36.69	48

Structural model:
```
data_Pr6NiAg2
_chemical_formula_sum 'Pr12 Ni2 Ag4'
_space_group_name_H-M_alt 'P 1 21/c 1'
_space_group_IT_number 14
_cell_length_a 6.515
_cell_length_b 7.931
_cell_length_c 12.171
_cell_angle_alpha 90.00
_cell_angle_beta 119.29
_cell_angle_gamma 90.00
loop_
_space_group_symop_operation_xyz
'x,y,z'
'-x,-y,-z'
'-x,y+1/2,-z+1/2'
'x,-y+1/2,z+1/2'
loop_
_atom_site_label
_atom_site_type_symbol
_atom_site_fract_x
_atom_site_fract_y
_atom_site_fract_z
Pr1 Pr 0.108 0.200 0.448
Pr2 Pr 0.297 0.669 0.449
Pr3 Pr 0.380 0.034 0.248
Ni1 Ni 0.500 0.000 0.500
Ag1 Ag 0.149 0.107 0.733
```


Record 8
This entry pairs a crystal structure of ReNi4Ag2 with its simulated powder X-ray diffraction pattern. Radiation: CuKα. Structure: a structure optimized by DFT (PBE).

Principal peaks in the range 2θ = 15–90°, low angle first:
2θ/deg	I/Imax
28.08	85
29.01	34
40.14	100
40.89	84
42.69	21
58.05	28
58.63	56
87.14	18

Structural model:
```
data_ReNi4Ag2
_chemical_formula_sum 'Re2 Ni8 Ag4'
_space_group_name_H-M_alt 'I 4/m m m'
_space_group_IT_number 139
_space_group_name_Hall '-I 4 2'
_cell_length_a 4.494
_cell_length_b 4.494
_cell_length_c 12.669
_cell_angle_alpha 90.00
_cell_angle_beta 90.00
_cell_angle_gamma 90.00
loop_
_atom_site_label
_atom_site_type_symbol
_atom_site_fract_x
_atom_site_fract_y
_atom_site_fract_z
Re1 Re 0.000 0.000 0.000
Ni1 Ni 0.000 0.000 0.179
Ni2 Ni 0.000 0.500 0.000
Ag1 Ag 0.000 0.000 0.382
```


Record 9
This entry pairs a crystal structure of Ni2AgRh with its simulated powder X-ray diffraction pattern. Radiation: CuKα. Structure: a structure optimized by DFT (PBE).

Principal peaks in the range 2θ = 15–90°, low angle first:
2θ/deg	I/Imax
36.25	12
40.19	29
40.79	32
43.79	100
58.60	18
75.54	14
76.34	18
82.90	7

Structural model:
```
data_Ni2AgRh
_chemical_formula_sum 'Ni4 Ag2 Rh2'
_space_group_name_H-M_alt 'I m m 2'
_space_group_IT_number 44
_cell_length_a 2.740
_cell_length_b 4.424
_cell_length_c 8.975
_cell_angle_alpha 90.00
_cell_angle_beta 90.00
_cell_angle_gamma 90.00
loop_
_space_group_symop_operation_xyz
'x,y,z'
'-x,-y,z'
'-x,y,z'
'x,-y,z'
'x+1/2,y+1/2,z+1/2'
'-x+1/2,-y+1/2,z+1/2'
'-x+1/2,y+1/2,z+1/2'
'x+1/2,-y+1/2,z+1/2'
loop_
_atom_site_label
_atom_site_type_symbol
_atom_site_fract_x
_atom_site_fract_y
_atom_site_fract_z
Ni1 Ni 0.000 0.000 0.000
Ni2 Ni 0.000 0.500 0.277
Ag1 Ag 0.000 0.000 0.517
Rh1 Rh 0.000 0.500 0.739
```


Record 10
This entry pairs a crystal structure of NiAgS6 with its simulated powder X-ray diffraction pattern. Radiation: CuKα. Structure: a structure optimized by DFT (PBE).

Principal peaks in the range 2θ = 15–90°, low angle first:
2θ/deg	I/Imax
16.83	100
30.51	22
31.31	34
32.57	22
33.63	38
33.75	34
35.92	35
36.96	26

Structural model:
```
data_NiAgS6
_chemical_formula_sum 'Ni1 Ag1 S6'
_space_group_name_H-M_alt 'P -1'
_space_group_IT_number 2
_cell_length_a 4.000
_cell_length_b 5.032
_cell_length_c 10.540
_cell_angle_alpha 88.95
_cell_angle_beta 88.62
_cell_angle_gamma 76.54
loop_
_space_group_symop_operation_xyz
'x,y,z'
'-x,-y,-z'
loop_
_atom_site_label
_atom_site_type_symbol
_atom_site_fract_x
_atom_site_fract_y
_atom_site_fract_z
Ni1 Ni 0.000 0.000 0.000
Ag1 Ag 0.500 0.500 0.000
S1 S 0.181 0.592 0.476
S2 S 0.281 0.158 0.149
S3 S 0.298 0.164 0.850
```


Record 11
This entry pairs a crystal structure of NiAg5S4 with its simulated powder X-ray diffraction pattern. Radiation: CuKα. Structure: a structure optimized by DFT (PBE).

Principal peaks in the range 2θ = 15–90°, low angle first:
2θ/deg	I/Imax
30.82	23
31.59	59
31.98	18
36.28	100
37.01	35
52.03	24
52.51	18
53.55	15

Structural model:
```
data_NiAg5S4
_chemical_formula_sum 'Ni2 Ag10 S8'
_space_group_name_H-M_alt 'C 1 2/m 1'
_space_group_IT_number 12
_cell_length_a 15.132
_cell_length_b 3.486
_cell_length_c 7.038
_cell_angle_alpha 90.00
_cell_angle_beta 105.60
_cell_angle_gamma 90.00
loop_
_space_group_symop_operation_xyz
'x,y,z'
'-x,-y,-z'
'-x,y,-z'
'x,-y,z'
'x+1/2,y+1/2,z'
'-x+1/2,-y+1/2,-z'
'-x+1/2,y+1/2,-z'
'x+1/2,-y+1/2,z'
loop_
_atom_site_label
_atom_site_type_symbol
_atom_site_fract_x
_atom_site_fract_y
_atom_site_fract_z
Ni1 Ni 0.000 0.000 0.000
Ag1 Ag 0.000 0.000 0.500
Ag2 Ag 0.166 0.500 0.755
Ag3 Ag 0.196 0.500 0.351
S1 S 0.009 0.500 0.233
S2 S 0.156 0.000 0.056
```


Record 12
This entry pairs a crystal structure of NiAgSnS4 with its simulated powder X-ray diffraction pattern. Radiation: CuKα. Structure: a structure optimized by DFT (PBE).

Principal peaks in the range 2θ = 15–90°, low angle first:
2θ/deg	I/Imax
24.25	39
24.61	22
28.10	79
28.71	100
34.39	25
44.85	28
45.53	39
49.69	68

Structural model:
```
data_NiAgSnS4
_chemical_formula_sum 'Ni4 Ag4 Sn4 S16'
_space_group_name_H-M_alt 'I m m a'
_space_group_IT_number 74
_space_group_name_Hall '-I 2b 2'
_cell_length_a 7.236
_cell_length_b 7.522
_cell_length_c 10.329
_cell_angle_alpha 90.00
_cell_angle_beta 90.00
_cell_angle_gamma 90.00
loop_
_atom_site_label
_atom_site_type_symbol
_atom_site_fract_x
_atom_site_fract_y
_atom_site_fract_z
Ni1 Ni 0.250 0.250 0.250
Ag1 Ag 0.000 0.250 0.649
Sn1 Sn 0.000 0.000 0.000
S1 S 0.000 0.045 0.247
S2 S 0.246 0.250 0.023
```


Record 13
This entry pairs a crystal structure of Ti2NiAg2S6 with its simulated powder X-ray diffraction pattern. Radiation: CuKα. Structure: a structure optimized by DFT (PBE).

Principal peaks in the range 2θ = 15–90°, low angle first:
2θ/deg	I/Imax
16.94	17
21.92	40
29.56	45
32.76	38
41.04	100
52.44	37
68.66	20
81.54	17

Structural model:
```
data_Ti2NiAg2S6
_chemical_formula_sum 'Ti2 Ni1 Ag2 S6'
_space_group_name_H-M_alt 'P -3 1 m'
_space_group_IT_number 162
_space_group_name_Hall '-P 3 2'
_cell_length_a 6.0442
_cell_length_b 6.0442
_cell_length_c 6.4135
_cell_angle_alpha 90.00
_cell_angle_beta 90.00
_cell_angle_gamma 120.00
loop_
_atom_site_label
_atom_site_type_symbol
_atom_site_fract_x
_atom_site_fract_y
_atom_site_fract_z
Ti1 Ti 0.3333 0.6667 0.0000
Ni1 Ni 0.0000 0.0000 0.0000
Ag1 Ag 0.3333 0.6667 0.5000
S1 S 0.0000 0.3249 0.7873
```


Record 14
This entry pairs a crystal structure of UNiAg2S4 with its simulated powder X-ray diffraction pattern. Radiation: CuKα. Structure: a structure optimized by DFT (PBE).

Principal peaks in the range 2θ = 15–90°, low angle first:
2θ/deg	I/Imax
18.72	37
26.64	51
32.62	100
32.74	16
37.89	18
38.02	47
50.95	63
78.15	17

Structural model:
```
data_UNiAg2S4
_chemical_formula_sum 'U2 Ni2 Ag4 S8'
_space_group_name_H-M_alt 'I -4'
_space_group_IT_number 82
_cell_length_a 6.694
_cell_length_b 6.694
_cell_length_c 6.739
_cell_angle_alpha 90.00
_cell_angle_beta 90.00
_cell_angle_gamma 90.00
loop_
_space_group_symop_operation_xyz
'x,y,z'
'y,-x,-z'
'-x,-y,z'
'-y,x,-z'
'x+1/2,y+1/2,z+1/2'
'y+1/2,-x+1/2,-z+1/2'
'-x+1/2,-y+1/2,z+1/2'
'-y+1/2,x+1/2,-z+1/2'
loop_
_atom_site_label
_atom_site_type_symbol
_atom_site_fract_x
_atom_site_fract_y
_atom_site_fract_z
U1 U 0.000 0.000 0.000
Ni1 Ni 0.000 0.500 0.250
Ag1 Ag 0.000 0.000 0.500
Ag2 Ag 0.000 0.500 0.750
S1 S 0.193 0.230 0.275
```